1.
The following is a simulated powder X-ray diffraction pattern of TeMoWSe2S. It was derived from DFT lattice parameters and positions (PBE), using Cu Kα, 1.54184 Å.
Lines closer than 0.1° are merged.

Peak list (8 most intense, 2θ = 5–70°, sorted by position)
d 12.691, I = 21, hkl 0 0 3
d 7.614, I = 100, hkl 0 0 5
d 2.891, I = 52, hkl 1 0 0
d 2.472, I = 84, hkl 1 0 8
d 2.388, I = 15, hkl 1 0 9
d 2.058, I = 49, hkl 0 1 13
d 1.982, I = 16, hkl 1 0 14
d 1.670, I = 31, hkl 1 1 0

Structural model:
Lattice parameters (Å, degrees): 3.341 3.341 38.072 90.00 90.00 120.00
Fractional coordinates of all 12 atoms:
Te 0.000 0.000 0.000
Te 0.000 0.000 0.100
Mo 0.667 0.333 0.050
Mo 0.667 0.333 0.674
W 0.000 0.000 0.238
W 0.000 0.000 0.862
Se 0.000 0.000 0.630
Se 0.000 0.000 0.718
Se 0.667 0.333 0.818
Se 0.667 0.333 0.906
S 0.667 0.333 0.198
S 0.667 0.333 0.278

---

2.
The following is a simulated powder X-ray diffraction pattern of Te2MoW3Se2S4. It was derived from DFT lattice parameters and positions (PBE), using Cu Kα, 1.54184 Å.
Lines closer than 0.1° are merged.

Peak list (8 most intense, 2θ = 5–70°, sorted by position)
d 14.245, I = 11, hkl 0 0 3
d 8.547, I = 100, hkl 0 0 5
d 7.123, I = 17, hkl 0 0 6
d 2.861, I = 27, hkl 1 0 0
d 2.715, I = 11, hkl 1 0 5
d 2.524, I = 36, hkl 1 0 8
d 2.159, I = 35, hkl 0 1 13
d 1.653, I = 15, hkl 1 1 0

Structural model:
Lattice parameters (Å, degrees): 3.306 3.306 42.735 90.00 90.00 120.00
Fractional coordinates of all 12 atoms:
Te 0.000 0.000 0.000
Te 0.000 0.000 0.090
Mo 0.333 0.667 0.045
W 0.000 0.000 0.237
W 0.000 0.000 0.857
W 0.333 0.667 0.423
Se 0.333 0.667 0.198
Se 0.333 0.667 0.277
S 0.000 0.000 0.387
S 0.000 0.000 0.459
S 0.333 0.667 0.821
S 0.333 0.667 0.893

---

3.
The following is a simulated powder X-ray diffraction pattern of TeMoWSe2S. It was derived from DFT lattice parameters and positions (PBE), using Cu Kα, 1.54184 Å.
Lines closer than 0.1° are merged.

Peak list (8 most intense, 2θ = 5–70°, sorted by position)
d 12.691, I = 42, hkl 0 0 3
d 7.615, I = 100, hkl 0 0 5
d 2.891, I = 50, hkl 1 0 0
d 2.705, I = 15, hkl 1 0 5
d 2.472, I = 85, hkl 1 0 8
d 2.058, I = 49, hkl 0 1 13
d 1.982, I = 14, hkl 1 0 14
d 1.670, I = 30, hkl 1 1 0

Structural model:
Lattice parameters (Å, degrees): 3.341 3.341 38.074 90.00 90.00 120.00
Fractional coordinates of all 12 atoms:
Te 0.000 0.000 0.000
Te 0.000 0.000 0.100
Mo 0.000 0.000 0.238
Mo 0.333 0.667 0.050
W 0.000 0.000 0.862
W 0.333 0.667 0.426
Se 0.000 0.000 0.382
Se 0.000 0.000 0.470
Se 0.333 0.667 0.194
Se 0.333 0.667 0.281
S 0.333 0.667 0.822
S 0.333 0.667 0.902

---

4.
The following is a simulated powder X-ray diffraction pattern of TeMoWSe2S. It was derived from DFT lattice parameters and positions (PBE), using Cu Kα, 1.54184 Å.
Lines closer than 0.1° are merged.

Peak list (8 most intense, 2θ = 5–70°, sorted by position)
d 13.249, I = 16, hkl 0 0 3
d 7.949, I = 100, hkl 0 0 5
d 6.624, I = 16, hkl 0 0 6
d 2.895, I = 36, hkl 1 0 0
d 2.503, I = 61, hkl 1 0 8
d 2.103, I = 46, hkl 0 1 13
d 2.028, I = 16, hkl 1 0 14
d 1.672, I = 27, hkl 1 1 0

Structural model:
Lattice parameters (Å, degrees): 3.345 3.345 39.746 90.00 90.00 120.00
Fractional coordinates of all 12 atoms:
Te 0.000 0.000 0.000
Te 0.000 0.000 0.096
Mo 0.000 0.000 0.860
Mo 0.667 0.333 0.672
W 0.000 0.000 0.237
W 0.667 0.333 0.048
Se 0.667 0.333 0.195
Se 0.667 0.333 0.279
Se 0.667 0.333 0.818
Se 0.667 0.333 0.902
S 0.000 0.000 0.634
S 0.000 0.000 0.711

---

5.
The following is a simulated powder X-ray diffraction pattern of Te2Mo3WSe2S4. It was derived from DFT lattice parameters and positions (PBE), using Cu Kα, 1.54184 Å.
Lines closer than 0.1° are merged.

Peak list (8 most intense, 2θ = 5–70°, sorted by position)
d 12.573, I = 31, hkl 0 0 3
d 7.544, I = 100, hkl 0 0 5
d 2.866, I = 46, hkl 1 0 0
d 2.532, I = 18, hkl 0 1 7
d 2.451, I = 83, hkl 1 0 8
d 2.367, I = 22, hkl 0 1 9
d 2.040, I = 44, hkl 1 0 13
d 1.656, I = 33, hkl 1 1 0

Structural model:
Lattice parameters (Å, degrees): 3.312 3.312 37.719 90.00 90.00 120.00
Fractional coordinates of all 12 atoms:
Te 0.000 0.000 0.000
Te 0.000 0.000 0.102
Mo 0.000 0.000 0.239
Mo 0.000 0.000 0.863
Mo 0.667 0.333 0.675
W 0.667 0.333 0.051
Se 0.667 0.333 0.195
Se 0.667 0.333 0.284
S 0.000 0.000 0.635
S 0.000 0.000 0.716
S 0.667 0.333 0.823
S 0.667 0.333 0.904

---

6.
The following is a simulated powder X-ray diffraction pattern of Te2Mo3WSe4S2. It was derived from DFT lattice parameters and positions (PBE), using Cu Kα, 1.54184 Å.
Lines closer than 0.1° are merged.

Peak list (8 most intense, 2θ = 5–70°, sorted by position)
d 12.684, I = 47, hkl 0 0 3
d 7.610, I = 100, hkl 0 0 5
d 2.895, I = 52, hkl 1 0 0
d 2.474, I = 93, hkl 1 0 8
d 2.059, I = 52, hkl 1 0 13
d 1.982, I = 14, hkl 1 0 14
d 1.672, I = 33, hkl 1 1 0
d 1.385, I = 15, hkl 0 2 8

Structural model:
Lattice parameters (Å, degrees): 3.344 3.344 38.052 90.00 90.00 120.00
Fractional coordinates of all 12 atoms:
Te 0.000 0.000 0.000
Te 0.000 0.000 0.100
Mo 0.000 0.000 0.862
Mo 0.667 0.333 0.050
Mo 0.667 0.333 0.674
W 0.000 0.000 0.238
Se 0.000 0.000 0.630
Se 0.000 0.000 0.718
Se 0.667 0.333 0.194
Se 0.667 0.333 0.282
S 0.667 0.333 0.822
S 0.667 0.333 0.902